(1)
Starting from a DFT-relaxed cell (GGA-PBE, Alexandria), the X-ray diffraction stick pattern of PPb3W was computed for Cu Kα.

The 10 most intense peaks (2θ = 10–80°), low angle first:
| (hkl) | 2theta | I (rel.) |
| --- | --- | --- |
| 1 0 0 | 16.38 | 97 |
| 1 1 1 | 28.58 | 61 |
| 2 0 0 | 33.11 | 100 |
| 2 1 0 | 37.16 | 55 |
| 2 2 0 | 47.53 | 74 |
| 3 0 0 | 50.61 | 29 |
| 3 1 1 | 56.40 | 28 |
| 2 2 2 | 59.15 | 26 |
| 4 1 0 | 71.96 | 17 |
| 4 2 0 | 79.17 | 35 |

Atomic structure:
abc: 5.4106 5.4106 5.4106
angles: 90.00 90.00 90.00
Space group Pm-3m (No. 221)
Asymmetric unit:
P: 0.0000 0.0000 0.0000 (multiplicity 1)
Pb: 0.0000 0.5000 0.5000 (multiplicity 3)
W: 0.5000 0.5000 0.5000 (multiplicity 1)

***

(2)
Starting from a DFT-relaxed cell (GGA-PBE, Alexandria), the X-ray diffraction stick pattern of ZnPPb was computed for Cu Kα.

The 10 most intense peaks (2θ = 10–80°), low angle first:
| (hkl) | 2theta | I (rel.) |
| --- | --- | --- |
| 0 0 2 | 17.90 | 11 |
| 1 0 0 | 25.87 | 30 |
| 1 0 2 | 31.64 | 100 |
| 0 0 4 | 36.26 | 15 |
| 1 0 4 | 45.07 | 17 |
| 1 1 0 | 45.62 | 27 |
| 2 0 2 | 56.58 | 19 |
| 1 1 4 | 59.62 | 21 |
| 1 0 6 | 62.34 | 12 |
| 2 1 2 | 75.51 | 17 |

Atomic structure:
abc: 3.9771 3.9771 9.9108
angles: 90.00 90.00 120.00
Space group P6_3mc (No. 186)
Asymmetric unit:
Zn: 0.3333 0.6667 0.0000 (multiplicity 2)
P: 0.3333 0.6667 0.5574 (multiplicity 2)
Pb: 0.0000 0.0000 0.2749 (multiplicity 2)

***

(3)
Starting from a DFT-relaxed cell (GGA-PBE, Alexandria), the X-ray diffraction stick pattern of ZrP6Pb was computed for Cu Kα.

The 10 most intense peaks (2θ = 10–80°), low angle first:
| (hkl) | 2theta | I (rel.) |
| --- | --- | --- |
| 1 1 1 | 19.26 | 76 |
| 0 2 1 | 21.28 | 100 |
| 2 2 0 | 22.50 | 40 |
| 1 3 1 | 28.18 | 27 |
| 3 1 1 | 31.32 | 53 |
| 1 1 2 | 33.57 | 27 |
| 4 0 0 | 34.85 | 47 |
| 2 4 1 | 37.52 | 33 |
| 1 3 2 | 39.59 | 27 |
| 4 2 1 | 41.21 | 33 |

Atomic structure:
abc: 10.2941 12.3330 5.6719
angles: 90.00 90.00 90.00
Space group Cmme (No. 67)
Asymmetric unit:
Zr: 0.2500 0.0000 0.0000 (multiplicity 4)
P: 0.0000 0.0229 0.1775 (multiplicity 8)
P: 0.2176 0.1599 0.6825 (multiplicity 16)
Pb: 0.0000 0.2500 0.3542 (multiplicity 4)

***

(4)
Starting from a DFT-relaxed cell (GGA-PBE, Alexandria), the X-ray diffraction stick pattern of P2Pd15 was computed for Cu Kα.

The 10 most intense peaks (2θ = 10–80°), low angle first:
| (hkl) | 2theta | I (rel.) |
| --- | --- | --- |
| 3 -1 1 | 38.52 | 100 |
| 2 0 5 | 38.77 | 64 |
| 1 0 7 | 39.02 | 37 |
| 1 2 2 | 39.59 | 44 |
| 1 1 6 | 39.92 | 86 |
| 3 0 0 | 43.51 | 21 |
| 3 -2 5 | 46.52 | 32 |
| 4 1 0 | 68.96 | 18 |
| 2 3 5 | 71.23 | 12 |
| 4 0 7 | 71.40 | 15 |

Atomic structure:
abc: 7.2055 7.2055 17.3905
angles: 90.00 90.00 120.00
Space group R-3 (No. 148, hexagonal axes)
Asymmetric unit:
P: 0.0000 0.0000 0.2147 (multiplicity 6)
Pd: 0.0000 0.0000 0.0000 (multiplicity 3)
Pd: 0.0000 0.0000 0.4207 (multiplicity 6)
Pd: 0.0208 0.2575 0.7046 (multiplicity 18)
Pd: 0.0503 0.7856 0.1306 (multiplicity 18)

***

(5)
Starting from a DFT-relaxed cell (GGA-PBE, Alexandria), the X-ray diffraction stick pattern of PPd6 was computed for Cu Kα.

The 10 most intense peaks (2θ = 10–80°), low angle first:
| (hkl) | 2theta | I (rel.) |
| --- | --- | --- |
| 2 1 -2 | 34.48 | 30 |
| 0 4 0 | 37.65 | 34 |
| 0 2 3 | 39.37 | 100 |
| 2 1 -3 | 39.93 | 34 |
| 2 1 1 | 40.06 | 35 |
| 2 3 -1 | 42.30 | 26 |
| 2 3 -2 | 43.93 | 43 |
| 0 6 2 | 63.00 | 12 |
| 2 5 -4 | 69.07 | 22 |
| 2 7 -1 | 77.35 | 21 |

Atomic structure:
abc: 5.7616 9.5561 8.3477
angles: 90.00 110.38 90.00
Space group P2_1/c (No. 14)
Asymmetric unit:
P: 0.1227 0.2382 0.2493 (multiplicity 4)
Pd: 0.0411 0.6356 0.0648 (multiplicity 4)
Pd: 0.1340 0.5800 0.7482 (multiplicity 4)
Pd: 0.2275 0.6348 0.4306 (multiplicity 4)
Pd: 0.2869 0.1344 0.0638 (multiplicity 4)
Pd: 0.3803 0.0811 0.7482 (multiplicity 4)
Pd: 0.4720 0.1331 0.4306 (multiplicity 4)

***

(6)
Starting from a DFT-relaxed cell (GGA-PBE, Alexandria), the X-ray diffraction stick pattern of PPd6 was computed for Cu Kα.

The 10 most intense peaks (2θ = 10–80°), low angle first:
| (hkl) | 2theta | I (rel.) |
| --- | --- | --- |
| 1 1 1 | 33.52 | 29 |
| 0 0 4 | 36.21 | 27 |
| 1 0 4 | 38.34 | 25 |
| 2 1 1 | 39.99 | 100 |
| 0 1 3 | 40.57 | 64 |
| 3 0 2 | 41.49 | 79 |
| 1 1 3 | 42.52 | 48 |
| 2 0 4 | 44.21 | 26 |
| 3 1 5 | 68.67 | 36 |
| 3 2 2 | 77.17 | 24 |

Atomic structure:
abc: 7.2665 3.0036 9.9221
angles: 90.00 90.00 90.00
Space group Amm2 (No. 38)
Asymmetric unit:
P: 0.0000 0.0000 0.0000 (multiplicity 2)
Pd: 0.0000 0.0000 0.3151 (multiplicity 2)
Pd: 0.1957 0.0000 0.6201 (multiplicity 4)
Pd: 0.3157 0.0000 0.8972 (multiplicity 4)
Pd: 0.5000 0.0000 0.1946 (multiplicity 2)